1.
For Er2ZnAu8, a crystal structure in Alexandria, relaxed with GGA-PBE gives the calculated X-ray diffraction stick pattern in this record (Cu Kα (weighted mean of Kα1 and Kα2)).
Lines closer than 0.1° are merged.

Peak list (6 most intense, 2θ from 15° to 90°, sorted by position)
| two_theta | I (rel.) |
| --- | --- |
| 30.3 | 207 |
| 36.6 | 417 |
| 38.4 | 397 |
| 38.6 | 1000 |
| 55.8 | 157 |
| 67.2 | 199 |

Crystal structure
```
data_Er2ZnAu8
_space_group_name_H-M_alt 'P 1'
_space_group_IT_number 1
_cell_length_a 7.8417
_cell_length_b 7.8417
_cell_length_c 7.8417
_cell_angle_alpha 143.49
_cell_angle_beta 130.32
_cell_angle_gamma 63.21
loop_
_space_group_symop_operation_xyz
'x,y,z'
loop_
_atom_site_label
_atom_site_fract_x
_atom_site_fract_y
_atom_site_fract_z
_atom_site_occupancy
Er1 0.1997 0.1997 0.0000 1
Er2 0.8003 0.8003 0.0000 1
Zn1 0.5000 0.5000 0.0000 1
Au1 0.0875 0.3718 0.7157 1
Au2 0.2293 0.0000 0.2293 1
Au3 0.3272 0.8272 0.5000 1
Au4 0.3439 0.6282 0.7157 1
Au5 0.6561 0.3718 0.2843 1
Au6 0.6728 0.1728 0.5000 1
Au7 0.7707 0.0000 0.7707 1
Au8 0.9125 0.6282 0.2843 1
```

---

2.
For Tb2PrTmSc4, a crystal structure in Alexandria, relaxed with GGA-PBE gives the calculated X-ray diffraction stick pattern in this record (Cu Kα (weighted mean of Kα1 and Kα2)).
Lines closer than 0.1° are merged.

Peak list (6 most intense, 2θ from 15° to 90°, sorted by position)
| two_theta | I (rel.) |
| --- | --- |
| 19.1 | 265 |
| 25.6 | 267 |
| 32.1 | 1000 |
| 36.5 | 353 |
| 41.5 | 155 |
| 54.2 | 220 |

Crystal structure
```
data_Tb2PrTmSc4
_space_group_name_H-M_alt 'P 1'
_space_group_IT_number 1
_cell_length_a 4.9226
_cell_length_b 4.9328
_cell_length_c 9.3079
_cell_angle_alpha 90.00
_cell_angle_beta 90.00
_cell_angle_gamma 90.00
loop_
_space_group_symop_operation_xyz
'x,y,z'
loop_
_atom_site_label
_atom_site_fract_x
_atom_site_fract_y
_atom_site_fract_z
_atom_site_occupancy
Tb1 0.0000 0.0000 0.0000 1
Tb2 0.5000 0.5000 0.5000 1
Pr1 0.0000 0.0000 0.5000 1
Tm1 0.5000 0.5000 0.0000 1
Sc1 0.0000 0.5000 0.2467 1
Sc2 0.0000 0.5000 0.7533 1
Sc3 0.5000 0.0000 0.2467 1
Sc4 0.5000 0.0000 0.7533 1
```

---

3.
For GaHg2Te4Pb, a crystal structure in Alexandria, relaxed with GGA-PBE gives the calculated X-ray diffraction stick pattern in this record (Cu Kα (weighted mean of Kα1 and Kα2)).
Lines closer than 0.1° are merged.

Peak list (6 most intense, 2θ from 15° to 90°, sorted by position)
| two_theta | I (rel.) |
| --- | --- |
| 22.1 | 584 |
| 24.5 | 1000 |
| 33.4 | 278 |
| 39.5 | 688 |
| 39.6 | 260 |
| 41.8 | 420 |

Crystal structure
```
data_GaHg2Te4Pb
_space_group_name_H-M_alt 'P 1'
_space_group_IT_number 1
_cell_length_a 8.0838
_cell_length_b 7.5627
_cell_length_c 7.0400
_cell_angle_alpha 67.12
_cell_angle_beta 59.53
_cell_angle_gamma 53.35
loop_
_space_group_symop_operation_xyz
'x,y,z'
loop_
_atom_site_label
_atom_site_fract_x
_atom_site_fract_y
_atom_site_fract_z
_atom_site_occupancy
Ga1 0.0000 0.0000 0.0000 1
Hg1 0.2339 0.2339 0.2661 1
Hg2 0.7339 0.7339 0.7661 1
Te1 0.1011 0.6752 0.3248 1
Te2 0.3730 0.8971 0.6270 1
Te3 0.6752 0.1011 0.8989 1
Te4 0.8971 0.3730 0.1029 1
Pb1 0.4679 0.4679 0.5321 1
```

---

4.
For AcIn4Au6, a crystal structure in Alexandria, relaxed with GGA-PBE gives the calculated X-ray diffraction stick pattern in this record (Cu Kα (weighted mean of Kα1 and Kα2)).
Lines closer than 0.1° are merged.

Peak list (6 most intense, 2θ from 15° to 90°, sorted by position)
| two_theta | I (rel.) |
| --- | --- |
| 29.7 | 371 |
| 32.5 | 504 |
| 34.5 | 429 |
| 39.1 | 343 |
| 39.8 | 1000 |
| 53.2 | 253 |

Crystal structure
```
data_AcIn4Au6
_space_group_name_H-M_alt 'P 1'
_space_group_IT_number 1
_cell_length_a 7.9353
_cell_length_b 7.9353
_cell_length_c 4.6037
_cell_angle_alpha 90.00
_cell_angle_beta 90.00
_cell_angle_gamma 120.00
loop_
_space_group_symop_operation_xyz
'x,y,z'
loop_
_atom_site_label
_atom_site_fract_x
_atom_site_fract_y
_atom_site_fract_z
_atom_site_occupancy
Ac1 0.0000 0.0000 0.0000 1
In1 0.1189 0.7104 0.5000 1
In2 0.2896 0.4086 0.5000 1
In3 0.5914 0.8811 0.5000 1
In4 0.6667 0.3333 0.0000 1
Au1 0.0995 0.4691 0.0000 1
Au2 0.3696 0.9005 0.0000 1
Au3 0.3858 0.1287 0.5000 1
Au4 0.5309 0.6304 0.0000 1
Au5 0.7429 0.6142 0.5000 1
Au6 0.8713 0.2571 0.5000 1
```

---

5.
For NaU4Se5, a crystal structure in Alexandria, relaxed with GGA-PBE gives the calculated X-ray diffraction stick pattern in this record (Cu Kα (weighted mean of Kα1 and Kα2)).
Lines closer than 0.1° are merged.

Peak list (6 most intense, 2θ from 15° to 90°, sorted by position)
| two_theta | I (rel.) |
| --- | --- |
| 26.8 | 453 |
| 30.9 | 557 |
| 31.1 | 1000 |
| 44.4 | 755 |
| 44.5 | 375 |
| 55.2 | 422 |

Crystal structure
```
data_NaU4Se5
_space_group_name_H-M_alt 'P 1'
_space_group_IT_number 1
_cell_length_a 14.7492
_cell_length_b 14.7492
_cell_length_c 14.7492
_cell_angle_alpha 164.14
_cell_angle_beta 164.14
_cell_angle_gamma 22.50
loop_
_space_group_symop_operation_xyz
'x,y,z'
loop_
_atom_site_label
_atom_site_fract_x
_atom_site_fract_y
_atom_site_fract_z
_atom_site_occupancy
Na1 0.0000 0.0000 0.0000 1
U1 0.2012 0.2012 0.0000 1
U2 0.4007 0.4007 0.0000 1
U3 0.5993 0.5993 0.0000 1
U4 0.7988 0.7988 0.0000 1
Se1 0.0993 0.0993 0.0000 1
Se2 0.3007 0.3007 0.0000 1
Se3 0.5000 0.5000 0.0000 1
Se4 0.6993 0.6993 0.0000 1
Se5 0.9007 0.9007 0.0000 1
```

---

6.
For Al7ZnGa3, a crystal structure in Alexandria, relaxed with GGA-PBE gives the calculated X-ray diffraction stick pattern in this record (Cu Kα (weighted mean of Kα1 and Kα2)).
Lines closer than 0.1° are merged.

Peak list (6 most intense, 2θ from 15° to 90°, sorted by position)
| two_theta | I (rel.) |
| --- | --- |
| 24.5 | 1000 |
| 25.0 | 683 |
| 28.1 | 857 |
| 38.8 | 533 |
| 40.6 | 772 |
| 44.6 | 543 |

Crystal structure
```
data_Al7ZnGa3
_space_group_name_H-M_alt 'P 1'
_space_group_IT_number 1
_cell_length_a 6.2021
_cell_length_b 6.2021
_cell_length_c 6.7854
_cell_angle_alpha 109.46
_cell_angle_beta 109.46
_cell_angle_gamma 96.88
loop_
_space_group_symop_operation_xyz
'x,y,z'
loop_
_atom_site_label
_atom_site_fract_x
_atom_site_fract_y
_atom_site_fract_z
_atom_site_occupancy
Al1 0.0000 0.0000 0.0000 1
Al2 0.1130 0.6170 0.2710 1
Al3 0.3571 0.3571 0.7535 1
Al4 0.3830 0.8870 0.7290 1
Al5 0.6170 0.1130 0.2710 1
Al6 0.6429 0.6429 0.2465 1
Al7 0.8870 0.3830 0.7290 1
Zn1 0.0000 0.0000 0.5000 1
Ga1 0.2692 0.7308 0.0000 1
Ga2 0.5000 0.5000 0.5000 1
Ga3 0.7308 0.2692 0.0000 1
```

---

7.
For Ba2HgSbAu6, a crystal structure in Alexandria, relaxed with GGA-PBE gives the calculated X-ray diffraction stick pattern in this record (Cu Kα (weighted mean of Kα1 and Kα2)).
Lines closer than 0.1° are merged.

Peak list (6 most intense, 2θ from 15° to 90°, sorted by position)
| two_theta | I (rel.) |
| --- | --- |
| 18.0 | 491 |
| 26.0 | 487 |
| 35.8 | 568 |
| 36.5 | 1000 |
| 36.8 | 888 |
| 40.8 | 388 |

Crystal structure
```
data_Ba2HgSbAu6
_space_group_name_H-M_alt 'P 1'
_space_group_IT_number 1
_cell_length_a 5.6275
_cell_length_b 7.3442
_cell_length_c 7.6893
_cell_angle_alpha 82.08
_cell_angle_beta 68.65
_cell_angle_gamma 67.65
loop_
_space_group_symop_operation_xyz
'x,y,z'
loop_
_atom_site_label
_atom_site_fract_x
_atom_site_fract_y
_atom_site_fract_z
_atom_site_occupancy
Ba1 0.0344 0.2166 0.2137 1
Ba2 0.9656 0.7834 0.7863 1
Hg1 0.5000 0.5000 0.0000 1
Sb1 0.5000 0.0000 0.5000 1
Au1 0.0008 0.7482 0.2472 1
Au2 0.3347 0.4181 0.4134 1
Au3 0.4976 0.2504 0.7532 1
Au4 0.5024 0.7496 0.2468 1
Au5 0.6653 0.5819 0.5866 1
Au6 0.9992 0.2518 0.7528 1
```

---

8.
For Pm5Sm2Tm2, a crystal structure in Alexandria, relaxed with GGA-PBE gives the calculated X-ray diffraction stick pattern in this record (Cu Kα (weighted mean of Kα1 and Kα2)).
Lines closer than 0.1° are merged.

Peak list (6 most intense, 2θ from 15° to 90°, sorted by position)
| two_theta | I (rel.) |
| --- | --- |
| 28.4 | 288 |
| 28.8 | 303 |
| 30.2 | 617 |
| 31.2 | 304 |
| 31.8 | 850 |
| 34.7 | 1000 |

Crystal structure
```
data_Pm5Sm2Tm2
_space_group_name_H-M_alt 'P 1'
_space_group_IT_number 1
_cell_length_a 10.4367
_cell_length_b 10.4367
_cell_length_c 10.4367
_cell_angle_alpha 86.72
_cell_angle_beta 103.50
_cell_angle_gamma 145.47
loop_
_space_group_symop_operation_xyz
'x,y,z'
loop_
_atom_site_label
_atom_site_fract_x
_atom_site_fract_y
_atom_site_fract_z
_atom_site_occupancy
Pm1 0.0599 0.9873 0.5726 1
Pm2 0.1979 0.0472 0.2451 1
Pm3 0.1979 0.4528 0.6507 1
Pm4 0.4147 0.4873 0.4274 1
Pm5 0.4674 0.0100 0.1698 1
Pm6 0.4674 0.7976 0.9574 1
Pm7 0.8021 0.5472 0.3493 1
Pm8 0.8021 0.9528 0.7549 1
Pm9 0.8403 0.2976 0.8302 1
Pm10 0.8403 0.5100 0.0426 1
Sm1 0.5796 0.0796 0.5000 1
Sm2 0.5796 0.5796 0.0000 1
Sm3 0.6550 0.4614 0.6936 1
Sm4 0.7678 0.9614 0.3064 1
Tm1 0.0977 0.2840 0.0868 1
Tm2 0.0977 0.5110 0.3138 1
Tm3 0.1972 0.0110 0.9132 1
Tm4 0.1972 0.7840 0.6862 1
```